Computed X-ray powder pattern of DyErMg2Ge2 for Cu Ka, from a DFT-relaxed cell (PBE, OQMD).
No peak broadening, texture or thermal motion is included.

Cell: 8.1674 8.1674 8.1674 Å, 150.43 150.43 42.32°
Sites, in units of the cell vectors:
Dy: 0.0000 0.0000 0.0000
Er: 0.3400 0.3400 0.0000
Mg: 0.1705 0.6705 0.5000
Mg: 0.6705 0.1705 0.5000
Ge: 0.5337 0.5337 0.0000
Ge: 0.8063 0.8063 0.0000

The 6 most intense peaks (2θ from 5° to 70°), low angle first:
7.617 Å, 11.62°, intensity 51
3.222 Å, 27.69°, intensity 54
2.948 Å, 30.32°, intensity 100
2.749 Å, 32.57°, intensity 56
2.331 Å, 38.62°, intensity 65
2.085 Å, 43.41°, intensity 58

=====

Computed X-ray powder pattern of YBe3Cu for Cu Ka, from a DFT-relaxed cell (PBE, OQMD).
No peak broadening, texture or thermal motion is included.

Cell: 6.5190 6.5190 6.5190 Å, 124.09 124.09 83.05°
Sites, in units of the cell vectors:
Y: 0.0000 0.0000 0.0000
Y: 0.5000 0.5000 0.0000
Be: 0.1071 0.6071 0.7143
Be: 0.2500 0.2500 0.0000
Be: 0.3929 0.1071 0.5000
Be: 0.6071 0.8929 0.5000
Be: 0.7500 0.7500 0.0000
Be: 0.8929 0.3929 0.2857
Cu: 0.2500 0.7500 0.5000
Cu: 0.7500 0.2500 0.5000

The 6 most intense peaks (2θ from 5° to 70°), low angle first:
3.236 Å, 27.57°, intensity 100
3.056 Å, 29.22°, intensity 58
2.440 Å, 36.83°, intensity 17
2.161 Å, 41.80°, intensity 21
1.907 Å, 47.69°, intensity 29
1.797 Å, 50.81°, intensity 42